Starting from a PBE+U-relaxed structure, the X-ray powder pattern of Ba4CaMn2MoO12 was computed for a wavelength of 1.5418 Å.
Peak positions follow from Bragg's law for the DFT cell and can differ from measured ones.

Main lines, in order of rising 2θ (2θ = 5–70°):
- d = 3.883 Å, intensity 17, hkl 0 1 5
- d = 3.270 Å, intensity 69, hkl 1 0 7
- d = 3.007 Å, intensity 13, hkl 0 1 8
- d = 2.964 Å, intensity 100, hkl 1 1 0
- d = 2.389 Å, intensity 11, hkl 0 1 11
- d = 2.356 Å, intensity 17, hkl 2 0 5
- d = 2.196 Å, intensity 43, hkl 0 2 7
- d = 1.960 Å, intensity 10, hkl 0 1 14
- d = 1.764 Å, intensity 22, hkl 2 1 7
- d = 1.711 Å, intensity 19, hkl 3 0 0
- d = 1.482 Å, intensity 19, hkl 2 2 0
- d = 1.350 Å, intensity 10, hkl 1 3 7

Structure:
Cell: 5.9281 5.9281 29.6859 Å, 90.00 90.00 120.00°
Space group R3m (No. 160, hexagonal axes)
Unique sites:
Ba (0.0000, 0.0000, 0.0000) x3
Ba (0.0000, 0.0000, 0.1430) x3
Ba (0.0000, 0.0000, 0.5694) x3
Ba (0.0000, 0.0000, 0.7391) x3
Ca (0.0000, 0.0000, 0.8635) x3
Mn (0.0000, 0.0000, 0.3697) x3
Mn (0.0000, 0.0000, 0.4565) x3
Mo (0.0000, 0.0000, 0.2788) x3
O (0.0285, 0.5143, 0.1570) x9
O (0.0421, 0.5210, 0.9937) x9
O (0.1750, 0.3500, 0.9153) x9
O (0.1864, 0.3727, 0.0760) x9